The following is a calculated powder X-ray diffraction pattern of K5Fe2O6. It was derived from a cell relaxed with GGA+U, using Cu Ka.
Neutral-atom scattering factors, no anomalous dispersion.

Cell and atoms:
abc: 10.696 6.959 14.117
angles: 90.00 99.84 90.00
Space group C2/c (No. 15)
Unique sites:
K: 0.000 0.125 0.250 x4
K: 0.051 0.229 0.998 x8
K: 0.153 0.411 0.715 x8
Fe: 0.224 0.379 0.426 x8
O: 0.068 0.468 0.376 x8
O: 0.157 0.038 0.644 x8
O: 0.212 0.098 0.438 x8

Top 10 peaks for 10 to 80 degrees two-theta, in order of falling intensity:
2θ = 32.15°, d = 2.784 Å, intensity 100.0, (0 2 3)
2θ = 15.98°, d = 5.548 Å, intensity 95.0, (1 1 -1)
2θ = 30.15°, d = 2.964 Å, intensity 86.1, (3 1 1)
2θ = 31.92°, d = 2.804 Å, intensity 84.9, (3 1 -3)
2θ = 28.67°, d = 3.114 Å, intensity 68.0, (1 1 -4)
2θ = 33.20°, d = 2.698 Å, intensity 50.9, (2 0 4)
2θ = 17.09°, d = 5.188 Å, intensity 43.6, (1 1 1)
2θ = 18.96°, d = 4.680 Å, intensity 42.5, (1 1 -2)
2θ = 46.92°, d = 1.937 Å, intensity 33.0, (1 1 -7)
2θ = 40.57°, d = 2.224 Å, intensity 30.9, (1 3 1)